No. 1
For BaAc3Cd4, the PBE geometry in Alexandria gives the computed X-ray powder pattern in this record (Cu Kα (weighted mean of Kα1 and Kα2)).
Peak positions follow from Bragg's law for the DFT cell and can differ from measured ones.

Peak list (6 most intense, 10 to 90 degrees two-theta, sorted by position)
- 2θ = 30.7°, I = 100
- 2θ = 30.8°, I = 50
- 2θ = 44.2°, I = 19
- 2θ = 54.5°, I = 20
- 2θ = 54.7°, I = 39
- 2θ = 72.9°, I = 17

```
BaAc3Cd4
1.0
11.6003 0.0000 0.0000
0.0000 8.2792 0.0000
0.0000 0.0000 5.8001
Ba Ac Cd
2 6 8
direct
0.0000 0.0000 0.0000
0.5000 0.0000 0.0000
0.0000 0.5000 0.0000
0.2500 0.0000 0.4989
0.2500 0.5000 0.4988
0.5000 0.5000 0.0000
0.7500 0.0000 0.5011
0.7500 0.5000 0.5012
0.0000 0.2570 0.5000
0.0000 0.7430 0.5000
0.2500 0.2570 0.9984
0.2500 0.7430 0.9984
0.5000 0.2570 0.5000
0.5000 0.7430 0.5000
0.7500 0.2570 0.0016
0.7500 0.7430 0.0016
```


No. 2
For BaAcCd6, the PBE geometry in Alexandria gives the computed X-ray powder pattern in this record (Cu Kα (weighted mean of Kα1 and Kα2)).
Peak positions follow from Bragg's law for the DFT cell and can differ from measured ones.

Peak list (6 most intense, 10 to 90 degrees two-theta, sorted by position)
- 2θ = 25.5°, I = 24
- 2θ = 28.5°, I = 35
- 2θ = 29.5°, I = 23
- 2θ = 32.2°, I = 50
- 2θ = 33.8°, I = 100
- 2θ = 35.8°, I = 37

```
BaAcCd6
1.0
5.0113 0.0000 0.0000
0.0000 7.0806 0.0000
0.0000 0.0000 6.6961
Ba Ac Cd
1 1 6
direct
0.0000 0.0000 0.0000
0.5000 0.5000 0.2263
0.0000 0.2473 0.4740
0.0000 0.5000 0.8552
0.0000 0.7527 0.4740
0.5000 0.0000 0.4009
0.5000 0.2774 0.7452
0.5000 0.7226 0.7452
```


No. 3
For Ba5AcCd4, the PBE geometry in Alexandria gives the computed X-ray powder pattern in this record (Cu Kα (weighted mean of Kα1 and Kα2)).
Peak positions follow from Bragg's law for the DFT cell and can differ from measured ones.

Peak list (6 most intense, 10 to 90 degrees two-theta, sorted by position)
- 2θ = 28.6°, I = 100
- 2θ = 30.0°, I = 59
- 2θ = 31.4°, I = 12
- 2θ = 42.9°, I = 26
- 2θ = 52.4°, I = 37
- 2θ = 62.3°, I = 12

```
Ba5AcCd4
1.0
4.2170 0.0000 0.0000
0.0000 4.2170 0.0000
0.0000 0.0000 23.1608
Ba Ac Cd
5 1 4
direct
0.0000 0.0000 0.0000
0.0000 0.0000 0.1865
0.0000 0.0000 0.3708
0.0000 0.0000 0.6292
0.0000 0.0000 0.8135
0.5000 0.5000 0.5000
0.5000 0.5000 0.0936
0.5000 0.5000 0.2800
0.5000 0.5000 0.7200
0.5000 0.5000 0.9064
```


No. 4
For BaAcCd17, the PBE geometry in Alexandria gives the computed X-ray powder pattern in this record (Cu Kα (weighted mean of Kα1 and Kα2)).
Peak positions follow from Bragg's law for the DFT cell and can differ from measured ones.

Peak list (6 most intense, 10 to 90 degrees two-theta, sorted by position)
- 2θ = 30.0°, I = 35
- 2θ = 34.8°, I = 60
- 2θ = 34.9°, I = 100
- 2θ = 35.4°, I = 34
- 2θ = 39.2°, I = 49
- 2θ = 62.3°, I = 27

```
BaAcCd17
1.0
5.1593 2.9787 5.0668
-5.1593 2.9787 5.0668
0.0000 -5.9574 5.0668
Ba Ac Cd
1 1 17
direct
0.0000 0.0000 0.0000
0.6698 0.6698 0.6698
0.0397 0.3364 0.6305
0.0397 0.6305 0.3364
0.1823 0.6890 0.6890
0.2388 0.2388 0.2388
0.3319 0.3319 0.8399
0.3319 0.8399 0.3319
0.3364 0.0397 0.6305
0.3364 0.6305 0.0397
0.4370 0.4370 0.4370
0.5035 0.9767 0.9767
0.6305 0.0397 0.3364
0.6305 0.3364 0.0397
0.6890 0.1823 0.6890
0.6890 0.6890 0.1823
0.8399 0.3319 0.3319
0.9767 0.5035 0.9767
0.9767 0.9767 0.5035
```


No. 5
For BaAc2Cd2Ge2, the PBE geometry in Alexandria gives the computed X-ray powder pattern in this record (Cu Kα (weighted mean of Kα1 and Kα2)).
Peak positions follow from Bragg's law for the DFT cell and can differ from measured ones.

Peak list (6 most intense, 10 to 90 degrees two-theta, sorted by position)
- 2θ = 24.1°, I = 29
- 2θ = 27.5°, I = 38
- 2θ = 28.9°, I = 100
- 2θ = 39.2°, I = 57
- 2θ = 49.4°, I = 23
- 2θ = 53.1°, I = 24

```
BaAc2Cd2Ge2
1.0
2.2980 1.3268 13.0404
-2.2980 1.3268 13.0404
0.0000 -2.6535 13.0404
Ba Ac Cd Ge
1 2 2 2
direct
0.0000 0.0000 0.0000
0.1231 0.1231 0.1231
0.8769 0.8769 0.8769
0.3943 0.3943 0.3943
0.6057 0.6057 0.6057
0.2581 0.2581 0.2581
0.7419 0.7419 0.7419
```


No. 6
For BaAc2CdO5, the PBE geometry in Alexandria gives the computed X-ray powder pattern in this record (Cu Kα (weighted mean of Kα1 and Kα2)).
Peak positions follow from Bragg's law for the DFT cell and can differ from measured ones.

Peak list (6 most intense, 10 to 90 degrees two-theta, sorted by position)
- 2θ = 14.2°, I = 11
- 2θ = 28.6°, I = 100
- 2θ = 35.2°, I = 41
- 2θ = 46.0°, I = 23
- 2θ = 52.9°, I = 14
- 2θ = 57.2°, I = 13

```
BaAc2CdO5
1.0
-3.6017 3.6017 6.2519
3.6017 -3.6017 6.2519
3.6017 3.6017 -6.2519
Ba Ac Cd O
2 4 2 10
direct
0.2500 0.2500 0.0000
0.7500 0.7500 0.0000
0.1741 0.6741 0.8481
0.3259 0.1741 0.5000
0.6741 0.8259 0.5000
0.8259 0.3259 0.1519
0.2500 0.7500 0.5000
0.7500 0.2500 0.5000
0.0000 0.0000 0.0000
0.0244 0.2184 0.5000
0.2184 0.7184 0.1940
0.2816 0.4756 0.5000
0.4756 0.9756 0.1940
0.5000 0.5000 0.0000
0.5244 0.0244 0.8060
0.7184 0.5244 0.5000
0.7816 0.2816 0.8060
0.9756 0.7816 0.5000
```


No. 7
For BaAc2CdS5, the PBE geometry in Alexandria gives the computed X-ray powder pattern in this record (Cu Kα (weighted mean of Kα1 and Kα2)).
Peak positions follow from Bragg's law for the DFT cell and can differ from measured ones.

Peak list (6 most intense, 10 to 90 degrees two-theta, sorted by position)
- 2θ = 24.6°, I = 29
- 2θ = 24.8°, I = 100
- 2θ = 30.4°, I = 70
- 2θ = 39.5°, I = 30
- 2θ = 45.6°, I = 23
- 2θ = 49.2°, I = 23

```
BaAc2CdS5
1.0
-4.1348 4.1348 7.2475
4.1348 -4.1348 7.2475
4.1348 4.1348 -7.2475
Ba Ac Cd S
2 4 2 10
direct
0.2500 0.2500 0.0000
0.7500 0.7500 0.0000
0.1619 0.6619 0.8238
0.3381 0.1619 0.5000
0.6619 0.8381 0.5000
0.8381 0.3381 0.1762
0.2500 0.7500 0.5000
0.7500 0.2500 0.5000
0.0000 0.0000 0.0000
0.0224 0.2123 0.5000
0.2123 0.7123 0.1899
0.2877 0.4776 0.5000
0.4776 0.9776 0.1899
0.5000 0.5000 0.0000
0.5224 0.0224 0.8101
0.7123 0.5224 0.5000
0.7877 0.2877 0.8101
0.9776 0.7877 0.5000
```


No. 8
For BaAcS2Cl, the PBE geometry in Alexandria gives the computed X-ray powder pattern in this record (Cu Kα (weighted mean of Kα1 and Kα2)).
Peak positions follow from Bragg's law for the DFT cell and can differ from measured ones.

Peak list (6 most intense, 10 to 90 degrees two-theta, sorted by position)
- 2θ = 14.5°, I = 50
- 2θ = 21.4°, I = 100
- 2θ = 22.1°, I = 66
- 2θ = 31.5°, I = 56
- 2θ = 33.4°, I = 60
- 2θ = 46.6°, I = 47

```
BaAcS2Cl
1.0
5.6777 0.0000 0.0000
0.0000 5.6777 0.0000
0.0000 0.0000 6.0956
Ba Ac S Cl
1 1 2 1
direct
0.0000 0.0000 0.0000
0.5000 0.5000 0.3169
0.0000 0.5000 0.2204
0.5000 0.0000 0.2204
0.5000 0.5000 0.7922
```


Please write out number 1 again, unchanged.
For BaAc3Cd4, the PBE geometry in Alexandria gives the computed X-ray powder pattern in this record (Cu Kα (weighted mean of Kα1 and Kα2)).
Peak positions follow from Bragg's law for the DFT cell and can differ from measured ones.

Peak list (6 most intense, 10 to 90 degrees two-theta, sorted by position)
- 2θ = 30.7°, I = 100
- 2θ = 30.8°, I = 50
- 2θ = 44.2°, I = 19
- 2θ = 54.5°, I = 20
- 2θ = 54.7°, I = 39
- 2θ = 72.9°, I = 17

```
BaAc3Cd4
1.0
11.6003 0.0000 0.0000
0.0000 8.2792 0.0000
0.0000 0.0000 5.8001
Ba Ac Cd
2 6 8
direct
0.0000 0.0000 0.0000
0.5000 0.0000 0.0000
0.0000 0.5000 0.0000
0.2500 0.0000 0.4989
0.2500 0.5000 0.4988
0.5000 0.5000 0.0000
0.7500 0.0000 0.5011
0.7500 0.5000 0.5012
0.0000 0.2570 0.5000
0.0000 0.7430 0.5000
0.2500 0.2570 0.9984
0.2500 0.7430 0.9984
0.5000 0.2570 0.5000
0.5000 0.7430 0.5000
0.7500 0.2570 0.0016
0.7500 0.7430 0.0016
```